1.
Simulated powder diffraction line list
Compound: BiP2AuO8
Radiation: Cu Kα
Structure: a crystal structure in Alexandria, relaxed with PBE
No peak broadening, texture or thermal motion is included.

Principal peaks in the range 10 to 90 degrees two-theta, low angle first:
| two_theta | I (rel.) |
| --- | --- |
| 22.8 | 64 |
| 24.3 | 16 |
| 26.8 | 100 |
| 37.3 | 42 |
| 39.3 | 36 |
| 44.2 | 15 |
| 45.1 | 41 |
| 46.6 | 21 |
| 61.2 | 19 |
| 63.9 | 19 |

Structure:
```
BiP2AuO8
1.0
2.4078 1.3902 7.3173
-2.4078 1.3902 7.3173
0.0000 -2.7803 7.3173
Bi P Au O
1 2 1 8
Cartesian
0.0000 0.0000 0.0000
0.0000 0.0000 5.5759
0.0000 0.0000 16.3760
0.0000 0.0000 10.9760
-0.9215 -1.4454 9.5012
-0.7910 -1.5207 12.4507
0.0000 0.0000 7.1385
-0.7910 1.5207 9.5012
-0.9215 1.4454 12.4507
0.0000 0.0000 14.8134
1.7125 -0.0754 9.5012
1.7125 0.0754 12.4507
```

---

2.
Simulated powder diffraction line list
Compound: CdIn12Bi7
Radiation: Cu Kα
Structure: a crystal structure in Alexandria, relaxed with PBE
No peak broadening, texture or thermal motion is included.

Principal peaks in the range 10 to 90 degrees two-theta, low angle first:
| two_theta | I (rel.) |
| --- | --- |
| 20.2 | 16 |
| 27.6 | 29 |
| 29.8 | 39 |
| 30.3 | 100 |
| 32.5 | 43 |
| 35.8 | 77 |
| 41.0 | 16 |
| 44.6 | 16 |
| 53.0 | 23 |
| 63.5 | 14 |

Structure:
```
CdIn12Bi7
1.0
7.9355 4.5815 2.7557
-7.9355 4.5815 2.7557
0.0000 -9.1631 2.7557
Cd In Bi
1 12 7
Cartesian
0.0000 0.0000 0.0000
-3.9264 -4.9402 3.9205
-6.2415 0.9303 4.3467
-3.1427 -1.3947 4.1517
-0.3635 -3.4190 4.1155
-2.7792 2.0243 4.1155
2.3151 -5.8705 4.3467
-2.3151 5.8705 3.9205
2.7792 -2.0243 4.1517
0.3635 3.4190 4.1517
3.1427 1.3947 4.1155
6.2415 -0.9303 3.9205
3.9264 4.9402 4.3467
-6.2891 -2.3109 4.1156
-1.1433 -6.6019 4.1516
-5.1458 4.2911 4.1516
0.0000 0.0000 4.1336
5.1458 -4.2911 4.1156
1.1433 6.6019 4.1156
6.2891 2.3108 4.1516
```

---

3.
Simulated powder diffraction line list
Compound: PrPuClO4
Radiation: Cu Kα
Structure: a crystal structure in Alexandria, relaxed with PBE
No peak broadening, texture or thermal motion is included.

Principal peaks in the range 10 to 90 degrees two-theta, low angle first:
| two_theta | I (rel.) |
| --- | --- |
| 14.2 | 32 |
| 14.4 | 25 |
| 16.6 | 21 |
| 24.5 | 100 |
| 25.4 | 35 |
| 32.0 | 38 |
| 35.0 | 31 |
| 38.1 | 34 |
| 43.2 | 21 |
| 56.8 | 17 |

Structure:
```
PrPuClO4
1.0
6.2434 -3.6235 0.0000
6.2434 3.6235 0.0000
-2.4581 0.0000 6.2357
Pr Pu Cl O
2 2 2 8
Cartesian
2.3942 0.0000 0.4571
7.6345 0.0000 5.7786
2.7465 0.0000 4.8221
7.2822 0.0000 1.4136
-0.2762 0.0000 1.6061
10.3049 0.0000 4.6296
1.2566 1.3776 5.0273
2.9374 0.0000 2.9803
5.0851 0.0000 0.5414
1.2566 -1.3776 5.0273
8.7720 1.3776 1.2084
4.9435 0.0000 5.6943
7.0912 0.0000 3.2554
8.7720 -1.3776 1.2084
```

---

4.
Simulated powder diffraction line list
Compound: Pm6Pr7
Radiation: Cu Kα
Structure: a crystal structure in Alexandria, relaxed with PBE
No peak broadening, texture or thermal motion is included.

Principal peaks in the range 10 to 90 degrees two-theta, low angle first:
| two_theta | I (rel.) |
| --- | --- |
| 26.3 | 34 |
| 29.8 | 32 |
| 30.5 | 100 |
| 30.8 | 27 |
| 32.1 | 51 |
| 33.1 | 35 |
| 49.1 | 18 |
| 50.2 | 22 |
| 54.0 | 29 |
| 54.7 | 21 |

Structure:
```
Pm6Pr7
1.0
3.3946 1.9599 11.5949
-3.3946 1.9599 11.5949
0.0000 -3.9198 11.5949
Pm Pr
6 7
Cartesian
0.0000 0.0000 1.5830
0.0000 0.0000 5.1523
0.0000 0.0000 11.6811
0.0000 0.0000 23.1037
0.0000 0.0000 29.6324
0.0000 0.0000 33.2018
-1.7640 -1.0185 14.6255
0.0000 -2.0369 20.1592
-1.7640 1.0185 20.1592
0.0000 0.0000 17.3924
1.7640 -1.0185 14.6255
0.0000 2.0369 14.6255
1.7640 1.0185 20.1593
```